The following is a computed powder XRD pattern of Lu3Mg2WS8. It was derived from a structure optimized by DFT (GGA-PBE), using CuKα.
Peak positions follow from Bragg's law for the DFT cell and can differ from measured ones.

Cell and atoms:
```
data_Lu3Mg2WS8
_chemical_formula_sum 'Lu9 Mg6 W3 S24'
_space_group_name_H-M_alt 'R -3 m'
_space_group_IT_number 166
_space_group_name_Hall '-R 3 2"'
_cell_length_a 7.7241
_cell_length_b 7.7241
_cell_length_c 18.4617
_cell_angle_alpha 90.00
_cell_angle_beta 90.00
_cell_angle_gamma 120.00
loop_
_atom_site_label
_atom_site_type_symbol
_atom_site_fract_x
_atom_site_fract_y
_atom_site_fract_z
Lu1 Lu 0.0000 0.5000 0.0000
Mg1 Mg 0.0000 0.0000 0.1256
W1 W 0.0000 0.0000 0.5000
S1 S 0.0000 0.0000 0.2565
S2 S 0.0240 0.5120 0.2466
```

The 6 most intense peaks (2θ = 5–70°), in order of falling intensity:
- 2θ 14.08, I 1000, (1 0 1)
- 2θ 33.08, I 920, (0 2 4)
- 2θ 27.26, I 525, (1 1 3)
- 2θ 47.06, I 409, (2 2 0)
- 2θ 47.89, I 390, (2 0 8)
- 2θ 28.38, I 305, (2 0 2)